For IO3, a cell relaxed with PBE gives the computed PXRD pattern in this record (λ = 1.5418 Å (Cu Kα)).

The 10 most intense peaks (10 to 80 degrees two-theta), most intense first:
h k l, d/Å, I (rel.)
1 0 0, 5.107, 100
1 -2 0, 3.165, 52
1 -1 0, 4.687, 39
-1 1 2, 2.757, 34
0 0 2, 3.384, 33
1 0 1, 3.822, 32
1 1 -1, 3.453, 21
0 1 -2, 3.241, 20
1 1 -2, 2.739, 17
0 2 0, 3.265, 16

```
data_IO3
_space_group_name_H-M_alt 'P -1'
_space_group_IT_number 2
_cell_length_a 5.333
_cell_length_b 6.851
_cell_length_c 6.905
_cell_angle_alpha 98.05
_cell_angle_beta 95.82
_cell_angle_gamma 104.66
loop_
_space_group_symop_operation_xyz
'x,y,z'
'-x,-y,-z'
loop_
_atom_site_label
_atom_site_type_symbol
_atom_site_fract_x
_atom_site_fract_y
_atom_site_fract_z
I1 I 0.003 0.171 0.171
I2 I 0.185 0.337 0.723
O1 O 0.152 0.700 0.349
O2 O 0.197 0.043 0.700
O3 O 0.205 0.365 0.019
O4 O 0.212 0.981 0.083
O5 O 0.243 0.685 0.795
O6 O 0.251 0.288 0.391
```